Record 1
Diffraction record for Os5PtRh6. The powder XRD pattern is computed, not measured: it uses a DFT-relaxed cell (PBE, Alexandria) and Cu Kα.

Crystal structure
Cell: 7.2999 7.2999 7.8170 Å, 90.00 90.00 120.00°
Space group P6_3/mcm (No. 193)
Asymmetric unit:
1 Os 0.0000 0.3762 0.2500 (multiplicity 6)
2 Os 0.3333 0.6667 0.0000 (multiplicity 4)
3 Pt 0.0000 0.0000 0.2500 (multiplicity 2)
4 Rh 0.0000 0.3076 0.5847 (multiplicity 12)

Largest 10 diffraction maxima, sorted by position, 5 to 70 degrees two-theta:
index  2θ (°)  intensity
1 0 2  26.82  20
1 1 2  33.60  13
2 0 2  36.56  47
2 1 1  39.43  15
1 1 3  42.63  77
3 0 0  42.92  100
2 1 2  44.44  23
2 2 3  62.09  19
3 0 4  65.10  12
3 2 2  69.08  21

Record 2
Diffraction record for OsPt3Rh4. The powder XRD pattern is computed, not measured: it uses a DFT-relaxed cell (PBE, Alexandria) and Cu Kα.

Crystal structure
Cell: 4.373 2.702 10.841 Å, 90.00 97.34 90.00°
Space group P2/m (No. 10)
Asymmetric unit:
1 Os 0.000 0.000 0.000 (multiplicity 1)
2 Pt 0.296 0.000 0.682 (multiplicity 2)
3 Pt 0.500 0.500 0.000 (multiplicity 1)
4 Rh 0.173 0.500 0.203 (multiplicity 2)
5 Rh 0.232 0.500 0.439 (multiplicity 2)

Largest 10 diffraction maxima, sorted by position, 5 to 70 degrees two-theta:
index  2θ (°)  intensity
0 0 3  24.84  43
0 0 4  33.33  14
1 0 -4  37.03  31
1 1 1  40.78  100
2 0 -1  41.41  51
1 0 4  41.72  32
1 1 -2  41.77  64
0 1 3  41.87  34
0 1 5  54.54  16
0 2 0  69.60  14

Record 3
Diffraction record for OsPt2Rh3. The powder XRD pattern is computed, not measured: it uses a DFT-relaxed cell (PBE, Alexandria) and Cu Kα.

Crystal structure
Cell: 5.453 12.258 2.724 Å, 90.00 90.00 90.00°
Space group Pnnm (No. 58)
Asymmetric unit:
1 Os 0.000 0.000 0.000 (multiplicity 2)
2 Pt 0.250 0.157 0.500 (multiplicity 4)
3 Rh 0.000 0.500 0.500 (multiplicity 2)
4 Rh 0.249 0.348 0.000 (multiplicity 4)

Largest 10 diffraction maxima, sorted by position, 5 to 70 degrees two-theta:
index  2θ (°)  intensity
1 2 0  21.82  13
2 0 0  32.85  10
2 2 0  36.05  44
0 3 1  39.77  100
0 6 0  44.34  33
2 4 0  44.48  49
2 1 1  47.77  61
2 3 1  52.50  11
2 5 1  61.17  11
4 0 0  68.90  20